1.
Computed XRD peak list of Pm5Sm4Ga4 for Cu Kα (λ = 1.5418 Å), from a crystal structure in Alexandria, relaxed with GGA-PBE.
Peak positions follow from Bragg's law for the DFT cell and can differ from measured ones.

Crystal structure
```
Pm5Sm4Ga4
1.0
-5.990 5.990 2.565
5.990 -5.990 2.565
5.990 5.990 -2.565
Pm Sm Ga
5 4 4
Direct
0.000 0.000 0.000
0.315 0.390 0.705
0.390 0.685 0.074
0.610 0.315 0.926
0.685 0.610 0.295
0.094 0.624 0.718
0.376 0.094 0.470
0.624 0.906 0.530
0.906 0.376 0.282
0.113 0.233 0.346
0.233 0.887 0.120
0.767 0.113 0.880
0.887 0.767 0.654
```

Main lines, in order of falling intensity (15 to 90 degrees two-theta):
2theta	intensity
32.1	100
35.0	28
28.3	25
38.3	17
60.9	16
58.9	14
29.8	14
52.8	14
35.5	9
65.4	9

2.
Computed XRD peak list of Pm4SmGa for Cu Kα (λ = 1.5418 Å), from a crystal structure in Alexandria, relaxed with GGA-PBE.
Peak positions follow from Bragg's law for the DFT cell and can differ from measured ones.

Crystal structure
```
Pm4SmGa
1.0
6.215 -1.887 0.000
6.215 1.887 0.000
-3.347 0.000 8.033
Pm Sm Ga
4 1 1
Direct
0.140 0.140 0.361
0.167 0.162 0.796
0.838 0.833 0.204
0.860 0.860 0.639
0.501 0.499 0.000
0.501 0.499 0.500
```

Main lines, in order of falling intensity (15 to 90 degrees two-theta):
2theta	intensity
31.4	100
33.4	93
31.7	53
30.5	41
58.9	35
47.6	31
30.9	19
48.2	18
55.0	15
28.7	15